(1)
Starting from DFT lattice parameters and positions (PBE), the powder XRD pattern of NaCrCuTe3 was simulated for Cu Ka.
Lines closer than 0.1° are merged.

Largest 10 diffraction maxima, in order of rising 2θ, 10° ≤ 2θ ≤ 90°:
2θ (°)	d/Å	I/Imax
11.92	7.426	100
27.18	3.281	38
29.22	3.056	43
29.90	2.989	31
30.97	2.888	64
31.85	2.809	60
39.11	2.303	29
44.61	2.031	54
46.06	1.971	31
49.05	1.857	34

Structural model:
```
data_NaCrCuTe3
_cell_length_a 8.5290
_cell_length_b 3.9414
_cell_length_c 9.7615
_cell_angle_alpha 90.00
_cell_angle_beta 110.06
_cell_angle_gamma 90.00
_symmetry_space_group_name_H-M 'P 1 21/m 1'
_symmetry_Int_Tables_number 11
loop_
_symmetry_equiv_pos_as_xyz
'x,y,z'
'-x,-y,-z'
'-x,y+1/2,-z'
'x,-y+1/2,z'
loop_
_atom_site_label
_atom_site_type_symbol
_atom_site_fract_x
_atom_site_fract_y
_atom_site_fract_z
_atom_site_occupancy
Na1 Na 0.2172 0.2500 0.2622 1
Cr1 Cr 0.3181 0.7500 0.8386 1
Cu1 Cu 0.0749 0.2500 0.5937 1
Te1 Te 0.1104 0.2500 0.8679 1
Te2 Te 0.2520 0.7500 0.5443 1
Te3 Te 0.4498 0.7500 0.1392 1
```

(2)
Starting from DFT lattice parameters and positions (PBE), the powder XRD pattern of CrCu2Ni8 was simulated for Cu Ka.
Lines closer than 0.1° are merged.

Largest 10 diffraction maxima, in order of rising 2θ, 10° ≤ 2θ ≤ 90°:
2θ (°)	d/Å	I/Imax
39.48	2.283	16
45.25	2.004	100
45.80	1.981	84
47.61	1.910	36
48.17	1.889	42
62.52	1.486	16
70.06	1.343	20
82.63	1.168	13
87.83	1.112	13
88.22	1.108	11

Structural model:
```
data_CrCu2Ni8
_cell_length_a 7.2016
_cell_length_b 9.4567
_cell_length_c 3.7781
_cell_angle_alpha 90.00
_cell_angle_beta 90.00
_cell_angle_gamma 90.00
_symmetry_space_group_name_H-M 'C m m m'
_symmetry_Int_Tables_number 65
_symmetry_space_group_name_Hall '-C 2 2'
loop_
_atom_site_label
_atom_site_type_symbol
_atom_site_fract_x
_atom_site_fract_y
_atom_site_fract_z
_atom_site_occupancy
Cr1 Cr 0.0000 0.0000 0.0000 1
Cu1 Cu 0.0000 0.3778 0.5000 1
Ni1 Ni 0.0000 0.2422 0.0000 1
Ni2 Ni 0.1672 0.1303 0.5000 1
Ni3 Ni 0.1716 0.5000 0.0000 1
```

(3)
Starting from DFT lattice parameters and positions (PBE), the powder XRD pattern of CrCu2Ni5 was simulated for Cu Ka.
Lines closer than 0.1° are merged.

Largest 6 diffraction maxima, in order of rising 2θ, 10° ≤ 2θ ≤ 90°:
2θ (°)	d/Å	I/Imax
37.91	2.373	1
44.18	2.050	100
51.25	1.782	31
51.91	1.762	15
75.42	1.260	9
75.95	1.253	17

Structural model:
```
data_CrCu2Ni5
_cell_length_a 3.5650
_cell_length_b 3.5650
_cell_length_c 14.0922
_cell_angle_alpha 90.00
_cell_angle_beta 90.00
_cell_angle_gamma 90.00
_symmetry_space_group_name_H-M 'I 4/m m m'
_symmetry_Int_Tables_number 139
_symmetry_space_group_name_Hall '-I 4 2'
loop_
_atom_site_label
_atom_site_type_symbol
_atom_site_fract_x
_atom_site_fract_y
_atom_site_fract_z
_atom_site_occupancy
Cr1 Cr 0.0000 0.0000 0.0000 1
Cu1 Cu 0.0000 0.0000 0.2510 1
Ni1 Ni 0.0000 0.0000 0.5000 1
Ni2 Ni 0.0000 0.5000 0.1217 1
```

(4)
Starting from DFT lattice parameters and positions (PBE), the powder XRD pattern of CrCuNi4 was simulated for Cu Ka.
Lines closer than 0.1° are merged.

Largest 5 diffraction maxima, in order of rising 2θ, 10° ≤ 2θ ≤ 90°:
2θ (°)	d/Å	I/Imax
44.37	2.042	100
50.63	1.803	16
52.23	1.751	30
75.71	1.256	18
77.00	1.238	9

Structural model:
```
data_CrCuNi4
_cell_length_a 2.4768
_cell_length_b 2.4768
_cell_length_c 10.8171
_cell_angle_alpha 90.00
_cell_angle_beta 90.00
_cell_angle_gamma 90.00
_symmetry_space_group_name_H-M 'P 4/m m m'
_symmetry_Int_Tables_number 123
_symmetry_space_group_name_Hall '-P 4 2'
loop_
_atom_site_label
_atom_site_type_symbol
_atom_site_fract_x
_atom_site_fract_y
_atom_site_fract_z
_atom_site_occupancy
Cr1 Cr 0.0000 0.0000 0.0000 1
Cu1 Cu 0.5000 0.5000 0.5000 1
Ni1 Ni 0.0000 0.0000 0.3305 1
Ni2 Ni 0.5000 0.5000 0.1655 1
```